# 1
Diffraction record for Cu3Ag2. The powder X-ray diffraction pattern is computed, not measured: it uses a structure optimized by DFT (GGA-PBE) and Cu Kα X-rays.
Peak positions follow from Bragg's law for the DFT cell and can differ from measured ones.

The 12 most intense peaks (2θ from 5° to 70°), most intense first:
d [Å], two_theta, I_rel
2.209, 40.9, 100
2.015, 45.0, 75
2.234, 40.4, 48
2.215, 40.7, 47
1.764, 51.8, 19
1.417, 65.9, 11
1.433, 65.1, 10
4.425, 20.1, 4
2.831, 31.6, 4
2.445, 36.8, 4
2.940, 30.4, 4
2.481, 36.2, 4

Cell and atoms:
Cell lengths 9.060, 9.060, 5.732 Å; angles 99.60, 99.60, 17.99 degrees
Positions (direct):
Cu1 0.000 0.000 0.000
Cu2 0.002 0.002 0.488
Cu3 0.413 0.413 0.699
Cu4 0.593 0.593 0.286
Cu5 0.813 0.813 0.863
Cu6 0.815 0.815 0.431
Ag1 0.203 0.203 0.580
Ag2 0.217 0.217 0.101
Ag3 0.401 0.401 0.192
Ag4 0.597 0.597 0.802

# 2
Diffraction record for Cu5Ag3. The powder X-ray diffraction pattern is computed, not measured: it uses a structure optimized by DFT (GGA-PBE) and Cu Kα X-rays.
Peak positions follow from Bragg's law for the DFT cell and can differ from measured ones.

The 12 most intense peaks (2θ from 5° to 70°), most intense first:
d [Å], two_theta, I_rel
2.217, 40.7, 100
1.915, 47.5, 32
1.359, 69.1, 18
1.928, 47.1, 15
1.354, 69.4, 9
3.431, 26.0, 7
2.135, 42.3, 2
2.556, 35.1, 2
1.672, 54.9, 2
2.571, 34.9, 1
1.536, 60.3, 1
1.426, 65.5, 1

Cell and atoms:
Cell lengths 3.831, 3.831, 7.713 Å; angles 90.00, 90.00, 90.00 degrees
Positions (direct):
Cu1 0.000 0.000 0.000
Cu2 0.000 0.000 0.500
Cu3 0.000 0.500 0.264
Cu4 0.500 0.000 0.736
Cu5 0.500 0.500 0.500
Ag1 0.000 0.500 0.739
Ag2 0.500 0.000 0.261
Ag3 0.500 0.500 0.000

# 3
Diffraction record for Cu17Ag3. The powder X-ray diffraction pattern is computed, not measured: it uses a structure optimized by DFT (GGA-PBE) and Cu Kα X-rays.
Peak positions follow from Bragg's law for the DFT cell and can differ from measured ones.

The 12 most intense peaks (2θ from 5° to 70°), most intense first:
d [Å], two_theta, I_rel
2.140, 42.2, 100
2.138, 42.3, 98
1.879, 48.4, 32
1.863, 48.9, 31
1.817, 50.2, 29
2.756, 32.5, 2
2.488, 36.1, 2
8.562, 10.3, 1
2.535, 35.4, 1
2.616, 34.3, 1
3.421, 26.0, 1
4.985, 17.8, 1

Cell and atoms:
Cell lengths 5.296, 5.761, 9.095 Å; angles 96.46, 106.49, 103.17 degrees
Positions (direct):
Cu1 0.000 0.000 0.000
Cu2 0.000 0.002 0.491
Cu3 0.092 0.584 0.393
Cu4 0.107 0.589 0.902
Cu5 0.177 0.186 0.283
Cu6 0.210 0.200 0.800
Cu7 0.289 0.790 0.185
Cu8 0.299 0.795 0.701
Cu9 0.387 0.399 0.604
Cu10 0.394 0.384 0.089
Cu11 0.497 0.992 0.992
Cu12 0.596 0.594 0.904
Cu13 0.698 0.179 0.280
Cu14 0.703 0.211 0.805
Cu15 0.800 0.791 0.190
Cu16 0.898 0.396 0.095
Cu17 0.917 0.392 0.604
Ag1 0.492 0.008 0.491
Ag2 0.593 0.575 0.389
Ag3 0.806 0.797 0.705

Number 1 is which compound? Cu3Ag2

Copy entry 2 word for word.
Diffraction record for Cu5Ag3. The powder X-ray diffraction pattern is computed, not measured: it uses a structure optimized by DFT (GGA-PBE) and Cu Kα X-rays.
Peak positions follow from Bragg's law for the DFT cell and can differ from measured ones.

The 12 most intense peaks (2θ from 5° to 70°), most intense first:
d [Å], two_theta, I_rel
2.217, 40.7, 100
1.915, 47.5, 32
1.359, 69.1, 18
1.928, 47.1, 15
1.354, 69.4, 9
3.431, 26.0, 7
2.135, 42.3, 2
2.556, 35.1, 2
1.672, 54.9, 2
2.571, 34.9, 1
1.536, 60.3, 1
1.426, 65.5, 1

Cell and atoms:
Cell lengths 3.831, 3.831, 7.713 Å; angles 90.00, 90.00, 90.00 degrees
Positions (direct):
Cu1 0.000 0.000 0.000
Cu2 0.000 0.000 0.500
Cu3 0.000 0.500 0.264
Cu4 0.500 0.000 0.736
Cu5 0.500 0.500 0.500
Ag1 0.000 0.500 0.739
Ag2 0.500 0.000 0.261
Ag3 0.500 0.500 0.000

What is the formula in the first record? Cu3Ag2